Diffraction record for La2ZrSe. The powder X-ray diffraction pattern is computed, not measured: it uses a DFT-relaxed cell (PBE, Alexandria) and CuKα.
Peak positions follow from Bragg's law for the DFT cell and can differ from measured ones.

Principal peaks in the range 2θ from 10° to 80°, in order of falling intensity:
2θ/deg	I_rel	index
29.71	1000	1 1 -1
37.25	511	1 1 1
31.83	368	1 0 1
38.23	292	0 2 0
36.74	274	0 1 2
50.57	242	1 2 1
31.25	224	0 0 2
43.55	201	2 0 -1
68.50	183	0 1 4
74.19	161	1 2 3

Cell and atoms:
Cell: 4.157 4.708 6.088 Å, 90.00 109.87 90.00°
Space group Pm (No. 6)
Symmetry-distinct sites (fractional):
La 0.000 0.000 0.000 [1 per cell]
La 0.287 0.500 0.575 [1 per cell]
Zr 0.719 0.000 0.439 [1 per cell]
Se 0.570 0.500 0.140 [1 per cell]